Record 1
Computed powder XRD pattern
Compound: CuAs
Radiation: copper Kα
Structure: the PBE geometry in the Materials Project
Kinematic intensities with the Lorentz-polarization factor, no thermal factor.

```
data_CuAs
_cell_length_a 3.8750
_cell_length_b 3.8750
_cell_length_c 4.9695
_cell_angle_alpha 90.00
_cell_angle_beta 90.00
_cell_angle_gamma 120.00
_space_group_name_H-M_alt 'P 63/m m c'
_space_group_IT_number 194
_space_group_name_Hall '-P 6c 2c'
loop_
_atom_site_label
_atom_site_fract_x
_atom_site_fract_y
_atom_site_fract_z
Cu1 0.0000 0.0000 0.0000
As1 0.3333 0.6667 0.2500
```

Top 10 peaks for 10 to 90 degrees two-theta, low angle first:
(1 0 0), d 3.356, I = 17
(1 0 1), d 2.781, I = 100
(1 0 2), d 1.997, I = 97
(1 1 0), d 1.938, I = 82
(2 0 1), d 1.590, I = 18
(1 0 3), d 1.485, I = 14
(2 0 2), d 1.391, I = 28
(2 1 1), d 1.229, I = 15
(2 1 2), d 1.130, I = 28
(3 0 0), d 1.119, I = 13

Record 2
Computed powder XRD pattern
Compound: K2AlHgBr6
Radiation: copper Kα
Structure: the PBE geometry in the Materials Project
Kinematic intensities with the Lorentz-polarization factor, no thermal factor.

```
data_K2AlHgBr6
_cell_length_a 11.045
_cell_length_b 11.045
_cell_length_c 11.045
_cell_angle_alpha 90.00
_cell_angle_beta 90.00
_cell_angle_gamma 90.00
_space_group_name_H-M_alt 'F m -3 m'
_space_group_IT_number 225
_space_group_name_Hall '-F 4 2 3'
loop_
_atom_site_label
_atom_site_fract_x
_atom_site_fract_y
_atom_site_fract_z
K1 0.250 0.250 0.250
Al1 0.000 0.000 0.000
Hg1 0.000 0.000 0.500
Br1 0.000 0.000 0.230
```

Top 10 peaks for 10 to 90 degrees two-theta, low angle first:
(2 0 0), d 5.522, I = 87
(3 1 1), d 3.330, I = 39
(2 2 2), d 3.188, I = 36
(4 0 0), d 2.761, I = 100
(3 3 1), d 2.534, I = 38
(4 2 0), d 2.470, I = 42
(4 4 0), d 1.952, I = 68
(6 0 0), d 1.841, I = 22
(4 4 4), d 1.594, I = 22
(8 4 0), d 1.235, I = 26

Copy entry 2 word for word.
Computed powder XRD pattern
Compound: K2AlHgBr6
Radiation: copper Kα
Structure: the PBE geometry in the Materials Project
Kinematic intensities with the Lorentz-polarization factor, no thermal factor.

```
data_K2AlHgBr6
_cell_length_a 11.045
_cell_length_b 11.045
_cell_length_c 11.045
_cell_angle_alpha 90.00
_cell_angle_beta 90.00
_cell_angle_gamma 90.00
_space_group_name_H-M_alt 'F m -3 m'
_space_group_IT_number 225
_space_group_name_Hall '-F 4 2 3'
loop_
_atom_site_label
_atom_site_fract_x
_atom_site_fract_y
_atom_site_fract_z
K1 0.250 0.250 0.250
Al1 0.000 0.000 0.000
Hg1 0.000 0.000 0.500
Br1 0.000 0.000 0.230
```

Top 10 peaks for 10 to 90 degrees two-theta, low angle first:
(2 0 0), d 5.522, I = 87
(3 1 1), d 3.330, I = 39
(2 2 2), d 3.188, I = 36
(4 0 0), d 2.761, I = 100
(3 3 1), d 2.534, I = 38
(4 2 0), d 2.470, I = 42
(4 4 0), d 1.952, I = 68
(6 0 0), d 1.841, I = 22
(4 4 4), d 1.594, I = 22
(8 4 0), d 1.235, I = 26